Starting from DFT lattice parameters and positions (GGA+U), the powder X-ray diffraction pattern of Nd2W2O9 was simulated for Cu Ka.
Kinematic intensities with the Lorentz-polarization factor, no thermal factor.

Top 6 peaks for 2θ from 5° to 70°, most intense first:
d_spacing, 2theta, Rel. int., index
3.396, 26.24, 100, 1 0 2
3.334, 26.74, 85, 1 2 -2
3.227, 27.64, 72, 2 1 -2
2.983, 29.96, 58, 2 2 0
3.044, 29.35, 55, 1 3 0
2.003, 45.27, 33, 2 3 2

Crystal structure
```
Nd2W2O9
1.0
7.797 0.000 0.000
0.000 10.009 0.000
-2.847 0.000 8.923
Nd W O
8 8 36
Cartesian
0.431 0.522 3.798 Nd
-0.993 4.483 8.259 Nd
-0.288 0.549 7.574 Nd
1.135 4.456 3.112 Nd
3.815 5.554 5.812 Nd
5.238 9.460 1.350 Nd
5.943 5.526 0.664 Nd
4.519 9.488 5.126 Nd
-0.693 7.319 4.161 W
-2.117 7.695 8.623 W
2.613 7.510 2.331 W
1.190 7.504 6.792 W
3.760 2.505 2.131 W
2.337 2.499 6.593 W
7.067 2.315 0.301 W
5.643 2.690 4.762 W
-0.892 5.992 2.892 O
-2.315 9.022 7.354 O
-1.329 1.041 5.440 O
0.094 3.964 0.979 O
-1.965 2.081 8.305 O
-0.541 2.924 3.844 O
1.446 6.348 1.229 O
0.023 8.666 5.691 O
-0.521 6.847 7.684 O
0.903 8.167 3.222 O
0.504 6.235 5.194 O
1.928 8.779 0.732 O
2.134 2.164 3.022 O
0.710 2.840 7.484 O
1.557 0.944 5.842 O
2.981 4.061 1.380 O
3.567 1.176 0.867 O
2.144 3.829 5.329 O
2.806 6.180 3.594 O
1.383 8.834 8.056 O
1.969 5.948 7.544 O
3.393 9.066 3.082 O
4.240 7.169 1.439 O
2.816 7.845 5.901 O
3.022 1.230 8.191 O
4.446 3.775 3.730 O
4.047 1.843 5.701 O
5.471 3.162 1.240 O
4.927 1.344 3.232 O
3.504 3.661 7.694 O
5.491 7.086 5.080 O
6.915 7.928 0.618 O
4.856 6.045 7.945 O
6.279 8.969 3.483 O
7.265 0.987 1.569 O
5.842 4.017 6.031 O
```